Simulated XRD peak list
Compound: KCrMo2O8
Radiation: copper Kα
Structure: a DFT-relaxed cell (PBE+U, Alexandria)
No peak broadening, texture or thermal motion is included.

```
data_KCrMo2O8
_symmetry_space_group_name_H-M 'P 1'
_symmetry_Int_Tables_number 1
_symmetry_space_group_name_Hall 'P 1'
_cell_length_a 9.499
_cell_length_b 9.499
_cell_length_c 9.256
_cell_angle_alpha 117.88
_cell_angle_beta 117.88
_cell_angle_gamma 35.33
loop_
_atom_site_label
_atom_site_fract_x
_atom_site_fract_y
_atom_site_fract_z
_atom_site_occupancy
K1 0.184 0.816 0.750 1
K2 0.816 0.184 0.250 1
Cr1 0.000 0.500 0.500 1
Cr2 0.500 0.000 0.000 1
Mo1 0.121 0.578 0.236 1
Mo2 0.422 0.879 0.264 1
Mo3 0.578 0.121 0.736 1
Mo4 0.879 0.422 0.764 1
O1 0.056 0.503 0.320 1
O2 0.139 0.218 0.916 1
O3 0.171 0.735 0.393 1
O4 0.218 0.139 0.416 1
O5 0.265 0.829 0.107 1
O6 0.298 0.405 0.647 1
O7 0.405 0.298 0.147 1
O8 0.497 0.944 0.180 1
O9 0.503 0.056 0.820 1
O10 0.595 0.702 0.853 1
O11 0.702 0.595 0.353 1
O12 0.735 0.171 0.893 1
O13 0.782 0.861 0.584 1
O14 0.829 0.265 0.607 1
O15 0.861 0.782 0.084 1
O16 0.944 0.497 0.680 1
```

The 6 most intense peaks (2θ = 15–90°), most intense first:
| 2θ (°) | I (rel.) |
| --- | --- |
| 28.90 | 100 |
| 21.49 | 88 |
| 22.51 | 82 |
| 21.25 | 79 |
| 32.94 | 70 |
| 22.04 | 48 |